Calculated XRD peak list of Li7Mn2Co3O12 for CuKα, from the PBE+U geometry in the Materials Project.

Crystal structure
```
data_Li7Mn2Co3O12
_chemical_formula_sum 'Li7 Mn2 Co3 O12'
_space_group_name_H-M_alt 'P 1 m 1'
_space_group_IT_number 6
_space_group_name_Hall 'P -2y'
_cell_length_a 5.953
_cell_length_b 2.932
_cell_length_c 12.910
_cell_angle_alpha 90.00
_cell_angle_beta 102.55
_cell_angle_gamma 90.00
loop_
_atom_site_label
_atom_site_fract_x
_atom_site_fract_y
_atom_site_fract_z
_atom_site_occupancy
Li1 0.000 0.000 0.000 1
Li2 0.005 0.500 0.511 1
Li3 0.164 0.500 0.833 1
Li4 0.321 0.000 0.662 1
Li5 0.509 0.500 0.515 1
Li6 0.692 0.000 0.358 1
Li7 0.846 0.500 0.183 1
Mn1 0.337 0.500 0.177 1
Mn2 0.507 0.000 0.006 1
Co1 0.167 0.000 0.360 1
Co2 0.673 0.500 0.827 1
Co3 0.850 0.000 0.662 1
O1 0.077 0.500 0.678 1
O2 0.119 0.000 0.171 1
O3 0.256 0.000 0.499 1
O4 0.282 0.500 0.016 1
O5 0.402 0.500 0.325 1
O6 0.441 0.000 0.857 1
O7 0.557 0.000 0.166 1
O8 0.592 0.500 0.683 1
O9 0.730 0.500 0.010 1
O10 0.756 0.000 0.520 1
O11 0.905 0.000 0.842 1
O12 0.937 0.500 0.336 1
```

Main lines, by intensity (5° ≤ 2θ ≤ 70°):
| hkl | 2theta | I (rel.) |
| --- | --- | --- |
| 1 0 1 | 18.15 | 100 |
| 2 1 -1 | 43.32 | 58 |
| 1 1 -2 | 35.84 | 26 |
| 0 0 6 | 43.07 | 25 |
| 4 0 -2 | 62.40 | 24 |
| 1 0 -5 | 35.62 | 15 |
| 0 0 1 | 7.01 | 13 |
| 2 1 -7 | 63.07 | 12 |
| 1 1 4 | 47.25 | 12 |
| 3 1 0 | 56.99 | 10 |
| 1 0 -1 | 15.30 | 8 |
| 0 2 0 | 63.45 | 8 |